The following is a simulated X-ray diffraction stick pattern of KCeNdMnO6. It was derived from a DFT-relaxed cell (PBE+U, the Materials Project), using Cu Kα (weighted mean of Kα1 and Kα2).
Peak positions follow from Bragg's law for the DFT cell and can differ from measured ones.

Crystal structure
Lattice parameters (Å, degrees): 8.1977 8.1977 8.1977 90.00 90.00 90.00
Space group F-43m (No. 216)
Unique sites:
1 K 0.0000 0.0000 0.0000
2 Ce 0.2500 0.2500 0.2500
3 Nd 0.0000 0.0000 0.5000
4 Mn 0.2500 0.2500 0.7500
5 O 0.0167 0.2500 0.7500

Main lines, by intensity (10 to 90 degrees two-theta):
hkl 2 2 0, 30.85°, rel. 100; hkl 4 2 2, 54.87°, rel. 39; hkl 4 0 0, 44.19°, rel. 33; hkl 1 1 1, 18.75°, rel. 28; hkl 6 4 2, 89.46°, rel. 21; hkl 4 4 0, 64.28°, rel. 20; hkl 3 1 1, 36.35°, rel. 19; hkl 6 2 0, 72.99°, rel. 17; hkl 3 3 1, 48.40°, rel. 10; hkl 3 3 3, 58.50°, rel. 6



The following is a simulated X-ray diffraction stick pattern of KCeMnWO6. It was derived from a DFT-relaxed cell (PBE+U, the Materials Project), using Cu Kα (weighted mean of Kα1 and Kα2).
Peak positions follow from Bragg's law for the DFT cell and can differ from measured ones.

Crystal structure
Lattice parameters (Å, degrees): 8.1258 8.1258 8.1258 90.00 90.00 90.00
Space group F-43m (No. 216)
Unique sites:
1 K 0.0000 0.0000 0.0000
2 Ce 0.0000 0.0000 0.5000
3 Mn 0.2500 0.2500 0.7500
4 W 0.2500 0.2500 0.2500
5 O 0.0112 0.2500 0.2500

Main lines, by intensity (10 to 90 degrees two-theta):
hkl 2 2 0, 31.13°, rel. 100; hkl 1 1 1, 18.92°, rel. 40; hkl 4 2 2, 55.39°, rel. 39; hkl 4 0 0, 44.60°, rel. 32; hkl 3 1 1, 36.68°, rel. 22; hkl 4 4 0, 64.92°, rel. 19; hkl 6 2 0, 73.74°, rel. 17; hkl 3 3 1, 48.86°, rel. 9; hkl 5 1 1, 59.07°, rel. 8; hkl 5 3 1, 68.29°, rel. 8



The following is a simulated X-ray diffraction stick pattern of KCeMo2O8. It was derived from a DFT-relaxed cell (PBE+U, the Materials Project), using Cu Kα (weighted mean of Kα1 and Kα2).
Peak positions follow from Bragg's law for the DFT cell and can differ from measured ones.

Crystal structure
Lattice parameters (Å, degrees): 5.4618 5.4618 12.2362 90.00 90.00 90.00
Space group I-4 (No. 82)
Unique sites:
1 K 0.0000 0.0000 0.0000
2 Ce 0.0000 0.5000 0.2500
3 Mo 0.0000 0.0000 0.5000
4 Mo 0.0000 0.5000 0.7500
5 O 0.1205 0.2405 0.4137
6 O 0.1517 0.7423 0.8243

Main lines, by intensity (10 to 90 degrees two-theta):
hkl 1 1 2, 27.31°, rel. 100; hkl 2 0 4, 44.47°, rel. 29; hkl 1 3 2, 55.26°, rel. 26; hkl 2 0 0, 32.79°, rel. 18; hkl 1 1 6, 50.62°, rel. 17; hkl 0 0 4, 29.19°, rel. 14; hkl 2 2 4, 56.34°, rel. 13; hkl 3 1 6, 71.59°, rel. 12; hkl 1 0 1, 17.78°, rel. 12; hkl 2 2 0, 47.06°, rel. 11